1.
Diffraction record for RbTl3F4. The XRD peak list is computed, not measured: it uses a crystal structure in Alexandria, relaxed with PBE and Cu Kα.

Crystal structure
```
data_RbTl3F4
_chemical_formula_sum 'Rb2 Tl6 F8'
_space_group_name_H-M_alt 'P m n 21'
_space_group_IT_number 31
_cell_length_a 10.561
_cell_length_b 6.106
_cell_length_c 5.936
_cell_angle_alpha 90.00
_cell_angle_beta 90.00
_cell_angle_gamma 90.00
loop_
_space_group_symop_operation_xyz
'x,y,z'
'-x+1/2,-y,z+1/2'
'-x,y,z'
'x+1/2,-y,z+1/2'
loop_
_atom_site_label
_atom_site_type_symbol
_atom_site_fract_x
_atom_site_fract_y
_atom_site_fract_z
Rb1 Rb 0.000 0.235 0.000
Tl1 Tl 0.000 0.763 0.494
Tl2 Tl 0.250 0.261 0.488
F1 F 0.000 0.173 0.499
F2 F 0.000 0.762 0.070
F3 F 0.250 0.136 0.890
```

The 8 most intense peaks (5° ≤ 2θ ≤ 70°), by angle:
d_spacing, I_rel, hkl
3.314, 1000, 2 1 1
3.053, 283, 0 2 0
2.968, 258, 0 0 2
2.640, 214, 4 0 0
2.128, 198, 0 2 2
1.809, 210, 2 3 1
1.773, 201, 2 1 3
1.657, 177, 4 2 2


2.
Diffraction record for Rb3TlF7. The XRD peak list is computed, not measured: it uses a crystal structure in Alexandria, relaxed with PBE and Cu Kα.

Crystal structure
```
data_Rb3TlF7
_chemical_formula_sum 'Rb6 Tl2 F14'
_space_group_name_H-M_alt 'C 1 m 1'
_space_group_IT_number 8
_cell_length_a 9.344
_cell_length_b 9.299
_cell_length_c 6.943
_cell_angle_alpha 90.00
_cell_angle_beta 128.27
_cell_angle_gamma 90.00
loop_
_space_group_symop_operation_xyz
'x,y,z'
'x,-y,z'
'x+1/2,y+1/2,z'
'x+1/2,-y+1/2,z'
loop_
_atom_site_label
_atom_site_type_symbol
_atom_site_fract_x
_atom_site_fract_y
_atom_site_fract_z
Rb1 Rb 0.000 0.000 0.000
Rb2 Rb 0.000 0.270 0.551
Tl1 Tl 0.046 0.500 0.104
F1 F 0.110 0.264 0.236
F2 F 0.181 0.500 0.938
F3 F 0.319 0.500 0.487
F4 F 0.354 0.163 0.804
F5 F 0.378 0.000 0.222
```

The 8 most intense peaks (5° ≤ 2θ ≤ 70°), by angle:
d_spacing, I_rel, hkl
5.760, 486, 1 1 0
5.520, 235, 1 1 -1
3.668, 491, 2 0 0
3.538, 1000, 0 2 1
3.429, 496, 2 0 -2
3.292, 596, 2 2 -1
2.331, 241, 4 0 -2
2.151, 305, 2 2 1


3.
Diffraction record for Rb3Tl2F9. The XRD peak list is computed, not measured: it uses a crystal structure in Alexandria, relaxed with PBE and Cu Kα.

Crystal structure
```
data_Rb3Tl2F9
_chemical_formula_sum 'Rb18 Tl12 F54'
_space_group_name_H-M_alt 'R -3 c'
_space_group_IT_number 167
_space_group_name_Hall '-R 3 2"c'
_cell_length_a 11.2377
_cell_length_b 11.2377
_cell_length_c 14.6310
_cell_angle_alpha 90.00
_cell_angle_beta 90.00
_cell_angle_gamma 120.00
loop_
_atom_site_label
_atom_site_type_symbol
_atom_site_fract_x
_atom_site_fract_y
_atom_site_fract_z
Rb1 Rb 0.0001 0.3333 0.0833
Tl1 Tl 0.0000 0.0000 0.1380
F1 F 0.0000 0.1453 0.2500
F2 F 0.0110 0.1813 0.9168
```

The 8 most intense peaks (5° ≤ 2θ ≤ 70°), by angle:
d_spacing, I_rel, hkl
5.619, 908, 1 1 0
3.424, 429, 1 0 4
3.244, 1000, 3 0 0
2.924, 289, 0 2 4
2.594, 394, 2 1 4
2.435, 378, 2 2 3
2.172, 287, 1 3 4
1.622, 230, 6 0 0


4.
Diffraction record for RbTl2F3. The XRD peak list is computed, not measured: it uses a crystal structure in Alexandria, relaxed with PBE and Cu Kα.

Crystal structure
```
data_RbTl2F3
_chemical_formula_sum 'Rb4 Tl8 F12'
_space_group_name_H-M_alt 'C m c 21'
_space_group_IT_number 36
_cell_length_a 11.757
_cell_length_b 6.808
_cell_length_c 7.430
_cell_angle_alpha 90.00
_cell_angle_beta 90.00
_cell_angle_gamma 90.00
loop_
_space_group_symop_operation_xyz
'x,y,z'
'-x,-y,z+1/2'
'-x,y,z'
'x,-y,z+1/2'
'x+1/2,y+1/2,z'
'-x+1/2,-y+1/2,z+1/2'
'-x+1/2,y+1/2,z'
'x+1/2,-y+1/2,z+1/2'
loop_
_atom_site_label
_atom_site_type_symbol
_atom_site_fract_x
_atom_site_fract_y
_atom_site_fract_z
Rb1 Rb 0.000 0.001 0.000
Tl1 Tl 0.167 0.499 0.609
F1 F 0.000 0.325 0.764
F2 F 0.163 0.164 0.266
```

The 8 most intense peaks (5° ≤ 2θ ≤ 70°), by angle:
d_spacing, I_rel, hkl
5.887, 207, 2 0 0
3.715, 310, 0 0 2
3.399, 1000, 3 1 0
3.142, 320, 2 0 2
2.508, 845, 0 2 2
1.964, 206, 3 3 0
1.909, 158, 5 1 2
1.736, 154, 3 3 2


5.
Diffraction record for RbTmTl2F6. The XRD peak list is computed, not measured: it uses a crystal structure in Alexandria, relaxed with PBE and Cu Kα.

Crystal structure
```
data_RbTmTl2F6
_chemical_formula_sum 'Rb2 Tm2 Tl4 F12'
_space_group_name_H-M_alt 'P 1 21/c 1'
_space_group_IT_number 14
_cell_length_a 6.497
_cell_length_b 6.923
_cell_length_c 11.370
_cell_angle_alpha 90.00
_cell_angle_beta 123.92
_cell_angle_gamma 90.00
loop_
_space_group_symop_operation_xyz
'x,y,z'
'-x,-y,-z'
'-x,y+1/2,-z+1/2'
'x,-y+1/2,z+1/2'
loop_
_atom_site_label
_atom_site_type_symbol
_atom_site_fract_x
_atom_site_fract_y
_atom_site_fract_z
Rb1 Rb 0.000 0.000 0.000
Tm1 Tm 0.500 0.000 0.500
Tl1 Tl 0.231 0.039 0.740
F1 F 0.182 0.157 0.463
F2 F 0.274 0.742 0.427
F3 F 0.395 0.063 0.287
```

The 8 most intense peaks (5° ≤ 2θ ≤ 70°), by angle:
d_spacing, I_rel, hkl
3.462, 490, 0 2 0
3.363, 1000, 1 1 1
3.323, 976, 1 1 -3
3.248, 514, 2 0 -2
2.369, 430, 2 2 -2
2.359, 242, 0 0 4
1.904, 264, 3 1 -1
1.882, 237, 3 1 -5


6.
Diffraction record for Rb2UTlF8. The XRD peak list is computed, not measured: it uses a crystal structure in Alexandria, relaxed with PBE and Cu Kα.

Crystal structure
```
data_Rb2UTlF8
_chemical_formula_sum 'Rb4 U2 Tl2 F16'
_space_group_name_H-M_alt 'I -4 m 2'
_space_group_IT_number 119
_space_group_name_Hall 'I -4 -2'
_cell_length_a 6.247
_cell_length_b 6.247
_cell_length_c 12.290
_cell_angle_alpha 90.00
_cell_angle_beta 90.00
_cell_angle_gamma 90.00
loop_
_atom_site_label
_atom_site_type_symbol
_atom_site_fract_x
_atom_site_fract_y
_atom_site_fract_z
Rb1 Rb 0.000 0.000 0.000
Rb2 Rb 0.000 0.500 0.250
U1 U 0.000 0.500 0.750
Tl1 Tl 0.000 0.000 0.500
F1 F 0.205 0.295 0.646
```

The 8 most intense peaks (5° ≤ 2θ ≤ 70°), by angle:
d_spacing, I_rel, hkl
5.569, 328, 1 0 1
3.587, 1000, 1 1 2
3.124, 205, 2 0 0
2.209, 187, 2 2 0
2.190, 369, 2 0 4
1.881, 323, 3 1 2
1.858, 176, 1 1 6
1.422, 156, 3 1 6